1.
Structure and theoretical powder X-ray diffraction pattern of Pr7P4Se4 (the PBE geometry in Alexandria; CuKα).
Kinematic intensities with the Lorentz-polarization factor, no thermal factor.

Largest 6 diffraction maxima, in order of rising 2θ, 5° ≤ 2θ ≤ 70°:
| 2theta | intensity |
| --- | --- |
| 23.60 | 46 |
| 25.54 | 20 |
| 30.45 | 22 |
| 32.51 | 100 |
| 36.12 | 48 |
| 47.46 | 34 |

Atomic structure:
Cell lengths 11.120, 11.120, 11.120 Å; angles 96.60, 96.60, 140.36 degrees
Fractional positions:
1 Pr 0.000 0.277 0.277
2 Pr 0.000 0.723 0.723
3 Pr 0.139 0.500 0.639
4 Pr 0.245 0.245 0.000
5 Pr 0.277 0.000 0.277
6 Pr 0.292 0.292 0.584
7 Pr 0.292 0.708 0.000
8 Pr 0.500 0.139 0.639
9 Pr 0.500 0.861 0.361
10 Pr 0.708 0.292 0.000
11 Pr 0.708 0.708 0.416
12 Pr 0.723 0.000 0.723
13 Pr 0.755 0.755 0.000
14 Pr 0.861 0.500 0.361
15 P 0.103 0.603 0.206
16 P 0.103 0.897 0.500
17 P 0.397 0.603 0.500
18 P 0.397 0.897 0.794
19 P 0.603 0.103 0.206
20 P 0.603 0.397 0.500
21 P 0.897 0.103 0.500
22 P 0.897 0.397 0.794
23 Se 0.122 0.122 0.244
24 Se 0.122 0.878 0.000
25 Se 0.334 0.500 0.834
26 Se 0.500 0.334 0.834
27 Se 0.500 0.666 0.166
28 Se 0.666 0.500 0.166
29 Se 0.878 0.122 0.000
30 Se 0.878 0.878 0.756

=====

2.
Structure and theoretical powder X-ray diffraction pattern of Pr2SiP (the PBE geometry in Alexandria; CuKα).
Kinematic intensities with the Lorentz-polarization factor, no thermal factor.

Largest 6 diffraction maxima, in order of rising 2θ, 5° ≤ 2θ ≤ 70°:
| 2theta | intensity |
| --- | --- |
| 26.68 | 72 |
| 27.95 | 46 |
| 30.31 | 49 |
| 30.42 | 100 |
| 40.55 | 38 |
| 46.25 | 32 |

Atomic structure:
Cell lengths 11.995, 11.995, 4.055 Å; angles 90.00, 90.00, 159.18 degrees
Fractional positions:
1 Pr 0.068 0.932 0.750
2 Pr 0.311 0.689 0.750
3 Pr 0.689 0.311 0.250
4 Pr 0.932 0.068 0.250
5 Si 0.467 0.533 0.750
6 Si 0.533 0.467 0.250
7 P 0.188 0.812 0.750
8 P 0.812 0.188 0.250

=====

Copy entry 1 word for word.
Structure and theoretical powder X-ray diffraction pattern of Pr7P4Se4 (the PBE geometry in Alexandria; CuKα).
Kinematic intensities with the Lorentz-polarization factor, no thermal factor.

Largest 6 diffraction maxima, in order of rising 2θ, 5° ≤ 2θ ≤ 70°:
| 2theta | intensity |
| --- | --- |
| 23.60 | 46 |
| 25.54 | 20 |
| 30.45 | 22 |
| 32.51 | 100 |
| 36.12 | 48 |
| 47.46 | 34 |

Atomic structure:
Cell lengths 11.120, 11.120, 11.120 Å; angles 96.60, 96.60, 140.36 degrees
Fractional positions:
1 Pr 0.000 0.277 0.277
2 Pr 0.000 0.723 0.723
3 Pr 0.139 0.500 0.639
4 Pr 0.245 0.245 0.000
5 Pr 0.277 0.000 0.277
6 Pr 0.292 0.292 0.584
7 Pr 0.292 0.708 0.000
8 Pr 0.500 0.139 0.639
9 Pr 0.500 0.861 0.361
10 Pr 0.708 0.292 0.000
11 Pr 0.708 0.708 0.416
12 Pr 0.723 0.000 0.723
13 Pr 0.755 0.755 0.000
14 Pr 0.861 0.500 0.361
15 P 0.103 0.603 0.206
16 P 0.103 0.897 0.500
17 P 0.397 0.603 0.500
18 P 0.397 0.897 0.794
19 P 0.603 0.103 0.206
20 P 0.603 0.397 0.500
21 P 0.897 0.103 0.500
22 P 0.897 0.397 0.794
23 Se 0.122 0.122 0.244
24 Se 0.122 0.878 0.000
25 Se 0.334 0.500 0.834
26 Se 0.500 0.334 0.834
27 Se 0.500 0.666 0.166
28 Se 0.666 0.500 0.166
29 Se 0.878 0.122 0.000
30 Se 0.878 0.878 0.756